[1]
Calculated XRD peak list
Compound: SbAuO4
Radiation: copper Kα
Structure: the PBE geometry in OQMD

Structural model:
```
SbAuO4
1.0
4.2909 -2.3165 0.0000
4.2909 2.3165 0.0000
-4.2908 0.0000 4.3040
Sb Au O
1 1 4
direct
0.0000 0.0000 0.0000 Sb
0.2496 0.7504 0.5000 Au
0.1134 0.5994 0.6540 O
0.4006 0.8866 0.3460 O
0.5388 0.0551 0.9398 O
0.9449 0.4612 0.0602 O
```

The 6 most intense peaks (2θ = 10–90°), by angle:
d 3.684, I = 100; d 3.039, I = 42; d 2.344, I = 53; d 2.039, I = 33; d 1.856, I = 14; d 1.479, I = 28

***

[2]
Calculated XRD peak list
Compound: GdYInNi2
Radiation: copper Kα
Structure: the PBE geometry in OQMD

Structural model:
```
GdYInNi2
1.0
3.7355 0.0000 0.0000
0.0000 1.9435 7.1049
0.0000 -1.9435 7.1049
Gd Y In Ni
1 1 1 2
direct
0.0000 0.0000 0.0000 Gd
0.0000 0.7263 0.7263 Y
0.5000 0.3620 0.3620 In
0.5000 0.1632 0.1632 Ni
0.5000 0.5619 0.5619 Ni
```

The 6 most intense peaks (2θ = 10–90°), by angle:
d 3.005, I = 33; d 2.646, I = 100; d 2.574, I = 68; d 2.341, I = 27; d 2.294, I = 39; d 1.551, I = 28

***

[3]
Calculated XRD peak list
Compound: Pr2Ho2CBr4Cl
Radiation: copper Kα
Structure: the PBE geometry in OQMD

Structural model:
```
Pr2Ho2CBr4Cl
1.0
9.0526 -1.9459 0.0000
9.0526 1.9459 0.0000
-1.7712 0.0000 8.0434
Pr Ho C Br Cl
2 2 1 4 1
direct
0.0017 0.0017 0.2858 Pr
0.9983 0.9983 0.7142 Pr
0.3644 0.3644 0.4298 Ho
0.6356 0.6356 0.5702 Ho
0.5000 0.5000 0.5000 C
0.1682 0.1682 0.8289 Br
0.1747 0.1747 0.3431 Br
0.8253 0.8253 0.6569 Br
0.8318 0.8318 0.1711 Br
0.5000 0.5000 0.0000 Cl
```

The 6 most intense peaks (2θ = 10–90°), by angle:
d 8.043, I = 76; d 2.947, I = 37; d 2.828, I = 100; d 2.617, I = 39; d 2.050, I = 24; d 2.032, I = 23

***

[4]
Calculated XRD peak list
Compound: DyLu6Pd2S2
Radiation: copper Kα
Structure: the PBE geometry in OQMD

Structural model:
```
DyLu6Pd2S2
1.0
-1.8914 7.3724 4.5441
1.8914 -7.3724 4.5441
1.8914 7.3724 -4.5441
Dy Lu Pd S
1 6 2 2
direct
0.0000 0.0000 0.0000 Dy
0.0670 0.3854 0.6815 Lu
0.1255 0.7576 0.3679 Lu
0.3898 0.7576 0.6321 Lu
0.4799 0.5972 0.8828 Lu
0.7039 0.3854 0.3185 Lu
0.7144 0.5972 0.1172 Lu
0.3281 0.0874 0.2406 Pd
0.8468 0.0874 0.7594 Pd
0.3506 0.3506 0.0000 S
0.7482 0.2482 0.5000 S
```

The 6 most intense peaks (2θ = 10–90°), by angle:
d 2.967, I = 31; d 2.852, I = 64; d 2.805, I = 37; d 2.579, I = 41; d 2.535, I = 100; d 2.502, I = 46

***

[5]
Calculated XRD peak list
Compound: NaCdB3
Radiation: copper Kα
Structure: the PBE geometry in OQMD

Structural model:
```
NaCdB3
1.0
7.7461 0.0000 0.0000
-3.8730 6.7083 0.0000
0.0000 0.0000 4.1890
Na Cd B
2 2 6
direct
0.0000 0.0000 0.0000 Na
0.0000 0.0000 0.5000 Na
0.3333 0.6667 0.2500 Cd
0.6667 0.3333 0.7500 Cd
0.1675 0.3351 0.2500 B
0.1675 0.8325 0.2500 B
0.3351 0.1675 0.7500 B
0.6649 0.8325 0.2500 B
0.8325 0.1675 0.7500 B
0.8325 0.6649 0.7500 B
```

The 6 most intense peaks (2θ = 10–90°), by angle:
d 3.873, I = 91; d 3.553, I = 100; d 2.618, I = 23; d 2.236, I = 21; d 2.169, I = 49; d 1.700, I = 22

***

[6]
Calculated XRD peak list
Compound: PrCd8Ag4
Radiation: copper Kα
Structure: the PBE geometry in OQMD

Structural model:
```
PrCd8Ag4
1.0
-4.9743 4.9743 2.8175
4.9743 -4.9743 2.8175
4.9743 4.9743 -2.8175
Pr Cd Ag
1 8 4
direct
0.0000 0.0000 0.0000 Pr
0.0000 0.3458 0.3458 Cd
0.0000 0.6542 0.6542 Cd
0.2868 0.5000 0.7868 Cd
0.3458 0.0000 0.3458 Cd
0.5000 0.2868 0.7868 Cd
0.5000 0.7132 0.2132 Cd
0.6542 0.0000 0.6542 Cd
0.7132 0.5000 0.2132 Cd
0.0000 0.0000 0.5000 Ag
0.0000 0.5000 0.0000 Ag
0.5000 0.0000 0.0000 Ag
0.5000 0.5000 0.5000 Ag
```

The 6 most intense peaks (2θ = 10–90°), by angle:
d 2.858, I = 48; d 2.487, I = 65; d 2.478, I = 100; d 2.452, I = 70; d 2.225, I = 35; d 2.199, I = 68

***

[7]
Calculated XRD peak list
Compound: Ta2Hg2O7
Radiation: copper Kα
Structure: the PBE geometry in OQMD

Structural model:
```
Ta2Hg2O7
1.0
-3.7102 5.2499 3.7162
3.7102 -5.2499 3.7162
3.7102 5.2499 -3.7162
Ta Hg O
4 4 14
direct
0.0000 0.0000 0.0000 Ta
0.9999 0.9996 0.5003 Ta
0.0000 0.5000 0.5000 Ta
0.4994 0.4996 0.4997 Ta
0.0022 0.5005 0.0017 Hg
0.4989 0.0005 0.9983 Hg
0.4990 0.4990 0.0000 Hg
0.4990 0.9990 0.5000 Hg
0.0670 0.7519 0.8151 O
0.0682 0.1338 0.8166 O
0.0682 0.7516 0.4344 O
0.3169 0.2514 0.5655 O
0.3172 0.2516 0.1834 O
0.3172 0.6338 0.5656 O
0.3768 0.7520 0.1248 O
0.6272 0.2520 0.8752 O
0.6864 0.3719 0.4344 O
0.6859 0.7514 0.4345 O
0.6864 0.7521 0.8145 O
0.9368 0.2519 0.1849 O
0.9376 0.2521 0.5656 O
0.9376 0.8719 0.1855 O
```

The 6 most intense peaks (2θ = 10–90°), by angle:
d 3.032, I = 100; d 2.625, I = 40; d 1.856, I = 42; d 1.583, I = 45; d 1.516, I = 12; d 1.174, I = 14

***

[8]
Calculated XRD peak list
Compound: Pr2Dy2CBr2Cl3
Radiation: copper Kα
Structure: the PBE geometry in OQMD

Structural model:
```
Pr2Dy2CBr2Cl3
1.0
8.9673 -1.9367 0.0000
8.9673 1.9367 0.0000
-1.8165 0.0000 8.0088
Pr Dy C Br Cl
2 2 1 2 3
direct
0.0000 0.0000 0.2154 Pr
0.0000 0.0000 0.7846 Pr
0.3625 0.3625 0.9293 Dy
0.6375 0.6375 0.0707 Dy
0.5000 0.5000 0.0000 C
0.1744 0.1744 0.8367 Br
0.8256 0.8256 0.1633 Br
0.1644 0.1644 0.3094 Cl
0.5000 0.5000 0.5000 Cl
0.8356 0.8356 0.6906 Cl
```

The 6 most intense peaks (2θ = 10–90°), by angle:
d 8.009, I = 100; d 2.915, I = 32; d 2.818, I = 86; d 2.597, I = 40; d 2.231, I = 24; d 2.032, I = 21

***

[9]
Calculated XRD peak list
Compound: HoEr2Fe6CoNi2
Radiation: copper Kα
Structure: the PBE geometry in OQMD

Structural model:
```
HoEr2Fe6CoNi2
1.0
2.4864 1.4355 8.1927
-2.4864 1.4355 8.1927
0.0000 -2.8711 8.1927
Ho Er Fe Co Ni
1 2 6 1 2
direct
0.0000 0.0000 0.0000 Ho
0.1419 0.1419 0.1419 Er
0.8581 0.8581 0.8581 Er
0.0817 0.5830 0.5830 Fe
0.4170 0.4170 0.9183 Fe
0.4170 0.9183 0.4170 Fe
0.5830 0.0817 0.5830 Fe
0.5830 0.5830 0.0817 Fe
0.9183 0.4170 0.4170 Fe
0.5000 0.5000 0.5000 Co
0.3329 0.3329 0.3329 Ni
0.6671 0.6671 0.6671 Ni
```

The 6 most intense peaks (2θ = 10–90°), by angle:
d 2.721, I = 47; d 2.501, I = 32; d 2.486, I = 53; d 2.145, I = 32; d 2.125, I = 100; d 1.355, I = 21

***

[10]
Calculated XRD peak list
Compound: HoHg3Se4I
Radiation: copper Kα
Structure: the PBE geometry in OQMD

Structural model:
```
HoHg3Se4I
1.0
8.2526 0.0000 0.0000
-4.1263 7.1470 0.0000
0.0000 0.0000 8.5954
Ho Hg Se I
2 6 8 2
direct
0.0000 0.0000 0.0000 Ho
0.0000 0.0000 0.5000 Ho
0.0178 0.5089 0.1584 Hg
0.4911 0.5089 0.1584 Hg
0.4911 0.9822 0.1584 Hg
0.5089 0.0178 0.6584 Hg
0.5089 0.4911 0.6584 Hg
0.9822 0.4911 0.6584 Hg
0.1410 0.2820 0.7407 Se
0.1410 0.8590 0.7407 Se
0.2820 0.1410 0.2407 Se
0.3333 0.6667 0.9949 Se
0.6667 0.3333 0.4949 Se
0.7180 0.8590 0.7407 Se
0.8590 0.1410 0.2407 Se
0.8590 0.7180 0.2407 Se
0.3333 0.6667 0.4312 I
0.6667 0.3333 0.9312 I
```

The 6 most intense peaks (2θ = 10–90°), by angle:
d 4.298, I = 34; d 3.573, I = 79; d 2.976, I = 100; d 2.748, I = 92; d 2.084, I = 42; d 2.063, I = 75

***

[11]
Calculated XRD peak list
Compound: CuAg2
Radiation: copper Kα
Structure: the PBE geometry in OQMD

Structural model:
```
CuAg2
1.0
4.8983 0.0000 0.0000
-2.4491 4.2420 0.0000
0.0000 0.0000 6.9322
Cu Ag
3 6
direct
0.1070 0.2139 0.3333 Cu
0.1070 0.8930 0.6667 Cu
0.7861 0.8930 0.0000 Cu
0.1072 0.5536 0.0000 Ag
0.4317 0.2158 0.0000 Ag
0.4464 0.5536 0.6667 Ag
0.4464 0.8928 0.3333 Ag
0.7842 0.2158 0.6667 Ag
0.7842 0.5683 0.3333 Ag
```

The 6 most intense peaks (2θ = 10–90°), by angle:
d 3.618, I = 5; d 2.310, I = 100; d 2.000, I = 48; d 1.414, I = 29; d 1.206, I = 34; d 1.155, I = 10